Structure and calculated X-ray powder pattern of Na2Sr2CuGe4 (a crystal structure in Alexandria, relaxed with GGA-PBE; copper Kα).
Intensities are scaled so that the largest is 100.

Largest 8 diffraction maxima, by angle, 15 to 90 degrees two-theta:
d_spacing  I (rel.)  h k l
3.347  39  1 1 2
2.709  100  2 0 2
2.431  33  0 0 4
2.307  52  2 2 0
1.674  37  2 2 4
1.631  16  4 0 0
1.398  19  4 2 2
1.355  16  4 0 4

Structural model:
```
data_Na2Sr2CuGe4
_space_group_name_H-M_alt 'I 4/m m m'
_space_group_IT_number 139
_space_group_name_Hall '-I 4 2'
_cell_length_a 6.5252
_cell_length_b 6.5252
_cell_length_c 9.7255
_cell_angle_alpha 90.00
_cell_angle_beta 90.00
_cell_angle_gamma 90.00
loop_
_atom_site_label
_atom_site_fract_x
_atom_site_fract_y
_atom_site_fract_z
_atom_site_occupancy
Na1 0.0000 0.0000 0.2237 1
Sr1 0.0000 0.5000 0.2500 1
Cu1 0.0000 0.0000 0.5000 1
Ge1 0.2254 0.2254 0.0000 1
```